Entry 1:
This entry pairs a crystal structure of Hg2SeO3 with its theoretical powder XRD pattern. Radiation: Cu Ka. Structure: a structure optimized by DFT (GGA-PBE).
No peak broadening, texture or thermal motion is included.

Structural model:
abc: 8.6146 5.0353 11.7953
angles: 90.00 120.86 90.00
Fractional positions:
Hg: 0.0617 0.2293 0.4071
Hg: 0.0617 0.2707 0.9071
Hg: 0.2692 0.2022 0.1599
Hg: 0.2692 0.2978 0.6599
Hg: 0.7308 0.7022 0.3401
Hg: 0.7308 0.7978 0.8401
Hg: 0.9383 0.7293 0.0929
Hg: 0.9383 0.7707 0.5929
Se: 0.3472 0.7414 0.3812
Se: 0.3472 0.7586 0.8812
Se: 0.6528 0.2414 0.1188
Se: 0.6528 0.2586 0.6188
O: 0.1178 0.6586 0.3054
O: 0.1178 0.8414 0.8054
O: 0.3384 0.0854 0.3653
O: 0.3384 0.4146 0.8653
O: 0.3944 0.6584 0.2610
O: 0.3944 0.8416 0.7610
O: 0.6056 0.1584 0.2390
O: 0.6056 0.3416 0.7390
O: 0.6616 0.5854 0.1347
O: 0.6616 0.9146 0.6347
O: 0.8822 0.1586 0.1946
O: 0.8822 0.3414 0.6946

Main lines, by angle (2θ from 15° to 90°):
hkl 1 1 0, 2θ 21.35, intensity 41.8; hkl 1 1 -2, 2θ 23.43, intensity 32.8; hkl 2 1 -2, 2θ 27.76, intensity 100.0; hkl 3 0 -2, 2θ 31.16, intensity 31.5; hkl 1 1 2, 2θ 31.52, intensity 32.5; hkl 0 0 4, 2θ 35.46, intensity 24.1; hkl 0 2 0, 2θ 35.66, intensity 32.6; hkl 0 1 4, 2θ 39.86, intensity 22.8

---

Entry 2:
This entry pairs a crystal structure of SmHgSeO with its theoretical powder XRD pattern. Radiation: Cu Ka. Structure: a structure optimized by DFT (GGA-PBE).
No peak broadening, texture or thermal motion is included.

Structural model:
abc: 9.9809 5.8419 5.8479
angles: 90.00 103.59 90.00
Fractional positions:
Sm: 0.1129 0.0011 0.2953
Sm: 0.1129 0.4989 0.7953
Sm: 0.8871 0.5011 0.2047
Sm: 0.8871 0.9989 0.7047
Hg: 0.4930 0.2282 0.5001
Hg: 0.4930 0.2718 0.0001
Hg: 0.5070 0.7282 0.9999
Hg: 0.5070 0.7718 0.4999
Se: 0.2689 0.5048 0.3693
Se: 0.2689 0.9952 0.8693
Se: 0.7311 0.0048 0.1307
Se: 0.7311 0.4952 0.6307
O: 0.9995 0.2505 0.9998
O: 0.9995 0.2495 0.4998
O: 0.0005 0.7495 0.0002
O: 0.0005 0.7505 0.5002

Main lines, by angle (2θ from 15° to 90°):
hkl 2 0 0, 2θ 18.29, intensity 52.7; hkl 3 0 0, 2θ 27.58, intensity 41.6; hkl 1 0 -2, 2θ 30.63, intensity 100.0; hkl 2 1 1, 2θ 30.95, intensity 68.1; hkl 1 2 0, 2θ 32.00, intensity 83.0; hkl 3 1 -1, 2θ 32.32, intensity 62.1; hkl 2 2 0, 2θ 35.89, intensity 54.5; hkl 0 2 2, 2θ 44.48, intensity 50.0

---

Entry 3:
This entry pairs a crystal structure of SnHgSeO with its theoretical powder XRD pattern. Radiation: Cu Ka. Structure: a structure optimized by DFT (GGA-PBE).
No peak broadening, texture or thermal motion is included.

Structural model:
abc: 7.9260 7.7846 6.2963
angles: 90.00 90.00 90.00
Fractional positions:
Sn: 0.1291 0.0932 0.0000
Sn: 0.3709 0.0932 0.5000
Sn: 0.6291 0.9068 0.0000
Sn: 0.8709 0.9068 0.5000
Hg: 0.0832 0.6353 0.1264
Hg: 0.4168 0.6353 0.6264
Hg: 0.5832 0.3647 0.1264
Hg: 0.9168 0.3647 0.6264
Se: 0.0774 0.6518 0.6925
Se: 0.4226 0.6518 0.1925
Se: 0.5774 0.3482 0.6925
Se: 0.9226 0.3482 0.1925
O: 0.0299 0.9178 0.2246
O: 0.4701 0.9178 0.7246
O: 0.5299 0.0822 0.2246
O: 0.9701 0.0822 0.7246

Main lines, by angle (2θ from 15° to 90°):
hkl 1 2 0, 2θ 25.50, intensity 94.8; hkl 2 0 1, 2θ 26.58, intensity 100.0; hkl 0 0 2, 2θ 28.35, intensity 55.2; hkl 1 2 1, 2θ 29.23, intensity 93.8; hkl 0 1 2, 2θ 30.63, intensity 53.5; hkl 3 2 0, 2θ 41.30, intensity 68.4; hkl 3 1 2, 2θ 46.36, intensity 40.6; hkl 3 2 2, 2θ 50.85, intensity 39.9

---

Entry 4:
This entry pairs a crystal structure of SnHgSeO with its theoretical powder XRD pattern. Radiation: Cu Ka. Structure: a structure optimized by DFT (GGA-PBE).
No peak broadening, texture or thermal motion is included.

Structural model:
abc: 6.0139 4.2585 16.4312
angles: 90.00 90.00 90.00
Fractional positions:
Sn: 0.0551 0.2500 0.1886
Sn: 0.4449 0.7500 0.6886
Sn: 0.5551 0.2500 0.3114
Sn: 0.9449 0.7500 0.8114
Hg: 0.1738 0.7500 0.4722
Hg: 0.3262 0.2500 0.9722
Hg: 0.6738 0.7500 0.0278
Hg: 0.8262 0.2500 0.5278
Se: 0.1728 0.7500 0.1056
Se: 0.3272 0.2500 0.6056
Se: 0.6728 0.7500 0.3944
Se: 0.8272 0.2500 0.8944
O: 0.2264 0.2500 0.2928
O: 0.2736 0.7500 0.7928
O: 0.7264 0.2500 0.2072
O: 0.7736 0.7500 0.7072

Main lines, by angle (2θ from 15° to 90°):
hkl 1 0 3, 2θ 21.95, intensity 100.0; hkl 1 1 1, 2θ 26.23, intensity 74.2; hkl 0 1 3, 2θ 26.51, intensity 89.3; hkl 1 1 3, 2θ 30.46, intensity 56.6; hkl 1 1 5, 2θ 37.67, intensity 55.6; hkl 2 1 2, 2θ 38.24, intensity 66.1; hkl 1 1 6, 2θ 42.00, intensity 34.7; hkl 0 2 0, 2θ 42.45, intensity 40.8

---

Entry 5:
This entry pairs a crystal structure of SrHgSeO with its theoretical powder XRD pattern. Radiation: Cu Ka. Structure: a structure optimized by DFT (GGA-PBE).
No peak broadening, texture or thermal motion is included.

Structural model:
abc: 6.7135 7.1348 7.5845
angles: 90.00 90.00 90.00
Fractional positions:
Sr: 0.1902 0.0780 0.4392
Sr: 0.3098 0.9220 0.9392
Sr: 0.6902 0.4220 0.5608
Sr: 0.8098 0.5780 0.0608
Hg: 0.1894 0.5560 0.3603
Hg: 0.3106 0.4440 0.8603
Hg: 0.6894 0.9440 0.6397
Hg: 0.8106 0.0560 0.1397
Se: 0.0022 0.2510 0.8316
Se: 0.4978 0.7490 0.3316
Se: 0.5022 0.2490 0.1684
Se: 0.9978 0.7510 0.6684
O: 0.0388 0.8548 0.1583
O: 0.4612 0.1452 0.6583
O: 0.5388 0.6452 0.8417
O: 0.9612 0.3548 0.3417

Main lines, by angle (2θ from 15° to 90°):
hkl 1 1 0, 2θ 18.14, intensity 42.6; hkl 0 1 2, 2θ 26.60, intensity 48.3; hkl 1 0 2, 2θ 27.00, intensity 100.0; hkl 1 1 2, 2θ 29.82, intensity 31.6; hkl 1 2 1, 2θ 30.73, intensity 87.5; hkl 2 2 0, 2θ 36.76, intensity 42.3; hkl 1 2 2, 2θ 37.10, intensity 46.4; hkl 3 0 1, 2θ 42.08, intensity 39.2